Starting from a DFT-relaxed cell (GGA-PBE, Alexandria), the PXRD pattern of K5PS4Cl2 was simulated for CuKα.

Top 10 peaks for 15° ≤ 2θ ≤ 90°, in order of falling intensity:
d/Å  2theta  I (rel.)  hkl
2.585  34.71  100  2 2 2
3.261  27.35  82  0 3 1
3.734  23.83  64  2 1 1
2.941  30.39  58  2 0 2
1.550  59.66  36  4 3 3
1.902  47.81  35  2 5 1
2.338  38.50  27  4 0 0
2.675  33.50  21  2 3 1
2.146  42.11  15  4 2 0
5.421  16.35  15  0 2 0

Atomic structure:
abc: 9.3530 10.8419 7.5636
angles: 90.00 90.00 90.00
Space group Amm2 (No. 38)
Symmetry-distinct sites (fractional):
K: 0.0000 0.0000 0.0000 [2 per cell]
K: 0.2629 0.1978 0.4961 [8 per cell]
P: 0.5000 0.0000 0.9724 [2 per cell]
S: 0.3202 0.0000 0.1314 [4 per cell]
S: 0.5000 0.1520 0.8081 [4 per cell]
Cl: 0.0000 0.2301 0.7479 [4 per cell]